Entry 1:
Nb3AuCN: theoretical PXRD pattern (Cu Kα), based on a DFT-relaxed cell (GGA-PBE, OQMD).
No peak broadening, texture or thermal motion is included.

Structure:
```
12
Lattice="3.166 0.000 0.000 -1.583 2.742 0.000 0.000 0.000 19.106" Properties=species:S:1:pos:R:3 pbc="T T T"
Nb 0.000 0.000 0.000
Nb 0.000 0.000 9.553
Nb 0.000 1.828 2.479
Nb 0.000 1.828 7.069
Nb 1.583 0.914 12.038
Nb 1.583 0.914 16.628
Au 0.000 0.000 4.765
Au 0.000 0.000 14.342
C 0.000 1.828 10.906
C 1.583 0.914 8.200
N 0.000 1.828 17.811
N 1.583 0.914 1.295
```

Largest 6 diffraction maxima, sorted by position, 10 to 90 degrees two-theta:
| Position (°2θ) | intensity | index |
| --- | --- | --- |
| 32.66 | 17 | 1 0 0 |
| 37.66 | 23 | 0 0 8 |
| 37.84 | 100 | 1 0 4 |
| 58.29 | 23 | 1 1 0 |
| 68.10 | 17 | 0 1 12 |
| 71.51 | 21 | 1 1 8 |

***

Entry 2:
Ho2Be2GeO7: theoretical PXRD pattern (Cu Kα), based on a DFT-relaxed cell (GGA-PBE, OQMD).
No peak broadening, texture or thermal motion is included.

Structure:
```
24
Lattice="7.355 0.000 0.000 0.000 7.355 0.000 0.000 0.000 4.764" Properties=species:S:1:pos:R:3 pbc="T T T"
Ho 1.159 2.518 2.356
Ho 2.518 6.195 2.409
Ho 4.837 1.159 2.409
Ho 6.195 4.837 2.356
Be 0.999 4.676 4.531
Be 2.679 0.999 0.234
Be 4.676 6.356 0.234
Be 6.356 2.679 4.531
Ge 0.000 0.000 0.000
Ge 3.677 3.677 0.000
O 0.000 3.677 3.874
O 0.601 6.095 3.713
O 1.049 4.726 1.346
O 1.260 0.601 1.051
O 2.417 4.278 3.713
O 2.628 1.049 3.418
O 3.076 2.417 1.051
O 3.677 0.000 0.890
O 4.278 4.937 1.051
O 4.726 6.306 3.418
O 4.937 3.076 3.713
O 6.095 6.753 1.051
O 6.306 2.628 1.346
O 6.753 1.260 3.713
```

Largest 6 diffraction maxima, sorted by position, 10 to 90 degrees two-theta:
| Position (°2θ) | intensity | index |
| --- | --- | --- |
| 18.63 | 39 | 0 0 1 |
| 25.35 | 44 | 1 1 1 |
| 27.11 | 51 | 2 1 0 |
| 30.71 | 42 | 2 0 1 |
| 33.10 | 100 | 2 1 1 |
| 47.11 | 43 | 2 1 2 |

***

Question: Which formula does entry 2 have?
Answer: Ho2Be2GeO7

***

Question: Which formula does entry 2 have?
Answer: Ho2Be2GeO7